Diffraction record for Tm2Co3Si4. The X-ray diffraction stick pattern is computed, not measured: it uses a DFT-relaxed cell (PBE, Alexandria) and Cu Kα (weighted mean of Kα1 and Kα2).
Intensities are scaled so that the largest is 1000.

Atomic structure:
```
Tm2Co3Si4
1.0
0.0000 4.5150 5.7864
2.5631 0.0000 5.7864
2.5631 4.5150 0.0000
Tm Co Si
2 3 4
Direct
0.1332 0.1332 0.8668 Tm
0.8668 0.8668 0.1332 Tm
0.0000 0.0000 0.5000 Co
0.5000 0.5000 0.0000 Co
0.5000 0.5000 0.5000 Co
0.1692 0.5216 0.4784 Si
0.4784 0.8308 0.1692 Si
0.5216 0.1692 0.8308 Si
0.8308 0.4784 0.5216 Si
```

Principal peaks in the range 10° ≤ 2θ ≤ 80°, by angle:
2θ (°), I (rel.)
19.66, 348
21.36, 499
30.65, 966
35.01, 319
35.44, 419
36.90, 427
39.94, 355
40.47, 586
41.95, 1000
47.39, 404

Diffraction record for Th2AlB2Ru5. The X-ray diffraction stick pattern is computed, not measured: it uses a DFT-relaxed cell (PBE, Alexandria) and Cu Kα (weighted mean of Kα1 and Kα2).
Intensities are scaled so that the largest is 1000.

Atomic structure:
```
Th2AlB2Ru5
1.0
9.7458 0.0000 0.0000
0.0000 9.7458 0.0000
0.0000 0.0000 3.2023
Th Al B Ru
4 2 4 10
Direct
0.1769 0.3231 0.0000 Th
0.3231 0.8231 0.0000 Th
0.6769 0.1769 0.0000 Th
0.8231 0.6769 0.0000 Th
0.0000 0.0000 0.0000 Al
0.5000 0.5000 0.0000 Al
0.1219 0.6219 0.0000 B
0.3781 0.1219 0.0000 B
0.6219 0.8781 0.0000 B
0.8781 0.3781 0.0000 B
0.0000 0.5000 0.5000 Ru
0.0697 0.7802 0.5000 Ru
0.2198 0.0697 0.5000 Ru
0.2802 0.5697 0.5000 Ru
0.4303 0.2802 0.5000 Ru
0.5000 0.0000 0.5000 Ru
0.5697 0.7198 0.5000 Ru
0.7198 0.4303 0.5000 Ru
0.7802 0.9303 0.5000 Ru
0.9303 0.2198 0.5000 Ru
```

Principal peaks in the range 10° ≤ 2θ ≤ 80°, by angle:
2θ (°), I (rel.)
18.21, 250
20.38, 314
33.49, 245
34.76, 1000
38.07, 883
38.37, 230
39.22, 316
40.63, 628
43.83, 232
71.12, 285

Diffraction record for Dy4Tl5Rh2. The X-ray diffraction stick pattern is computed, not measured: it uses a DFT-relaxed cell (PBE, Alexandria) and Cu Kα (weighted mean of Kα1 and Kα2).
Intensities are scaled so that the largest is 1000.

Atomic structure:
```
Dy4Tl5Rh2
1.0
7.9009 0.0000 0.0000
0.0000 3.6158 0.0000
-0.8010 0.0000 9.7329
Dy Tl Rh
4 5 2
Direct
0.1876 0.0000 0.3413 Dy
0.2081 0.0000 0.9350 Dy
0.7919 0.0000 0.0650 Dy
0.8124 0.0000 0.6587 Dy
0.1555 0.5000 0.6390 Tl
0.4582 0.5000 0.1658 Tl
0.5000 0.5000 0.5000 Tl
0.5418 0.5000 0.8342 Tl
0.8445 0.5000 0.3610 Tl
0.0785 0.5000 0.1377 Rh
0.9215 0.5000 0.8623 Rh
```

Principal peaks in the range 10° ≤ 2θ ≤ 80°, by angle:
2θ (°), I (rel.)
30.65, 659
32.35, 775
33.42, 1000
33.65, 844
34.16, 743
34.35, 682
35.44, 374
37.27, 697
37.59, 596
50.48, 451

Diffraction record for NaBi2Se4. The X-ray diffraction stick pattern is computed, not measured: it uses a DFT-relaxed cell (PBE, Alexandria) and Cu Kα (weighted mean of Kα1 and Kα2).
Intensities are scaled so that the largest is 1000.

Atomic structure:
```
NaBi2Se4
1.0
2.1118 -7.1937 0.0000
2.1118 7.1937 0.0000
0.0000 0.0000 13.2606
Na Bi Se
2 4 8
Direct
0.0974 0.9026 0.7500 Na
0.9026 0.0974 0.2500 Na
0.3662 0.6338 0.5702 Bi
0.3662 0.6338 0.9298 Bi
0.6338 0.3662 0.0702 Bi
0.6338 0.3662 0.4298 Bi
0.0000 0.0000 0.0000 Se
0.0000 0.0000 0.5000 Se
0.2620 0.7380 0.1385 Se
0.2620 0.7380 0.3615 Se
0.4617 0.5383 0.7500 Se
0.5383 0.4617 0.2500 Se
0.7380 0.2620 0.6385 Se
0.7380 0.2620 0.8615 Se
```

Principal peaks in the range 10° ≤ 2θ ≤ 80°, by angle:
2θ (°), I (rel.)
13.35, 569
14.01, 685
21.93, 605
23.62, 1000
28.17, 950
28.96, 793
31.28, 913
40.66, 664
42.82, 446
43.20, 764